Theoretical powder diffractogram of Li2NiP2O7 for Cu Kα, from a crystal structure in the Materials Project, relaxed with PBE+U.
Peak positions follow from Bragg's law for the DFT cell and can differ from measured ones.

abc: 8.134 8.134 8.802
angles: 113.64 113.64 35.89
Sites, in units of the cell vectors:
Li 0.046 0.333 0.053
Li 0.333 0.046 0.553
Li 0.667 0.954 0.447
Li 0.954 0.667 0.947
Ni 0.000 0.000 0.000
Ni 0.000 0.000 0.500
P 0.259 0.536 0.683
P 0.464 0.741 0.817
P 0.536 0.259 0.183
P 0.741 0.464 0.317
O 0.053 0.747 0.556
O 0.119 0.671 0.837
O 0.251 0.392 0.108
O 0.253 0.947 0.944
O 0.329 0.881 0.663
O 0.392 0.251 0.608
O 0.479 0.521 0.250
O 0.521 0.479 0.750
O 0.608 0.749 0.392
O 0.671 0.119 0.337
O 0.747 0.053 0.056
O 0.749 0.608 0.892
O 0.881 0.329 0.163
O 0.947 0.253 0.444

Largest 8 diffraction maxima, in order of falling intensity, 2θ from 5° to 70°:
d_spacing  Position (°2θ)  I/Imax
7.017  12.61  100
3.286  27.14  99
4.341  20.46  35
3.420  26.06  27
3.114  28.67  24
3.832  23.21  23
2.039  44.43  14
3.454  25.79  13